(1)
Diffraction record for SrIn2Se2. The XRD peak list is simulated, not measured: it uses a crystal structure in Alexandria, relaxed with PBE and Cu Kα (weighted mean of Kα1 and Kα2).

Most intense lines, 10° ≤ 2θ ≤ 90°, in order of falling intensity:
2θ 31.98, intensity 1000
2θ 32.76, intensity 798
2θ 46.44, intensity 591
2θ 45.86, intensity 360
2θ 29.51, intensity 302
2θ 22.47, intensity 275
2θ 63.92, intensity 228
2θ 82.18, intensity 226
2θ 44.86, intensity 208
2θ 67.32, intensity 189

Structural model:
Cell: 6.144 6.144 6.144 Å, 125.81 125.81 80.21°
Fractional positions:
Sr1 0.000 0.000 0.000
In1 0.347 0.347 0.000
In2 0.653 0.653 0.000
Se1 0.250 0.750 0.500
Se2 0.750 0.250 0.500



(2)
Diffraction record for Sr2UInSe5. The XRD peak list is simulated, not measured: it uses a crystal structure in Alexandria, relaxed with PBE and Cu Kα (weighted mean of Kα1 and Kα2).

Most intense lines, 10° ≤ 2θ ≤ 90°, in order of falling intensity:
2θ 29.58, intensity 1000
2θ 30.16, intensity 617
2θ 42.33, intensity 426
2θ 35.10, intensity 351
2θ 42.93, intensity 289
2θ 52.86, intensity 255
2θ 13.44, intensity 225
2θ 22.44, intensity 223
2θ 37.52, intensity 179
2θ 49.43, intensity 176

Structural model:
Cell: 9.369 9.369 13.181 Å, 90.01 90.01 26.34°
Fractional positions:
Sr1 0.000 0.000 0.000
Sr2 0.022 0.022 0.378
Sr3 0.249 0.249 0.878
Sr4 0.271 0.271 0.500
U1 0.346 0.346 0.204
U2 0.925 0.925 0.704
In1 0.607 0.607 0.645
In2 0.665 0.665 0.145
Se1 0.083 0.083 0.757
Se2 0.189 0.189 0.258
Se3 0.422 0.422 0.853
Se4 0.450 0.450 0.556
Se5 0.503 0.503 0.192
Se6 0.629 0.629 0.956
Se7 0.643 0.643 0.456
Se8 0.768 0.768 0.692
Se9 0.822 0.822 0.056
Se10 0.850 0.850 0.353



(3)
Diffraction record for Ta2InSe. The XRD peak list is simulated, not measured: it uses a crystal structure in Alexandria, relaxed with PBE and Cu Kα (weighted mean of Kα1 and Kα2).

Most intense lines, 10° ≤ 2θ ≤ 90°, in order of falling intensity:
2θ 35.98, intensity 1000
2θ 40.58, intensity 397
2θ 10.78, intensity 295
2θ 70.83, intensity 276
2θ 61.48, intensity 161
2θ 58.73, intensity 134
2θ 44.12, intensity 108
2θ 43.86, intensity 88
2θ 76.29, intensity 86
2θ 30.44, intensity 72

Structural model:
Cell: 3.144 3.144 8.211 Å, 90.00 90.00 90.00°
Fractional positions:
Ta1 0.000 0.000 0.000
Ta2 0.500 0.500 0.253
In1 0.000 0.000 0.503
Se1 0.500 0.500 0.825



(4)
Diffraction record for Ta2InSe6. The XRD peak list is simulated, not measured: it uses a crystal structure in Alexandria, relaxed with PBE and Cu Kα (weighted mean of Kα1 and Kα2).

Most intense lines, 10° ≤ 2θ ≤ 90°, in order of falling intensity:
2θ 30.78, intensity 1000
2θ 39.60, intensity 956
2θ 13.97, intensity 505
2θ 21.04, intensity 484
2θ 48.22, intensity 433
2θ 51.49, intensity 272
2θ 78.89, intensity 260
2θ 58.26, intensity 218
2θ 64.10, intensity 189
2θ 44.70, intensity 174

Structural model:
Cell: 11.323 11.323 6.340 Å, 90.00 90.00 120.00°
Fractional positions:
Ta1 0.000 0.347 0.000
Ta2 0.000 0.653 0.000
Ta3 0.347 0.000 0.000
Ta4 0.347 0.347 0.000
Ta5 0.653 0.000 0.000
Ta6 0.653 0.653 0.000
In1 0.000 0.000 0.000
In2 0.333 0.667 0.461
In3 0.667 0.333 0.539
Se1 0.093 0.546 0.744
Se2 0.123 0.245 0.772
Se3 0.123 0.877 0.772
Se4 0.210 0.419 0.245
Se5 0.210 0.790 0.245
Se6 0.245 0.123 0.228
Se7 0.419 0.210 0.755
Se8 0.454 0.546 0.744
Se9 0.454 0.907 0.744
Se10 0.546 0.093 0.256
Se11 0.546 0.454 0.256
Se12 0.581 0.790 0.245
Se13 0.755 0.877 0.772
Se14 0.790 0.210 0.755
Se15 0.790 0.581 0.755
Se16 0.877 0.123 0.228
Se17 0.877 0.755 0.228
Se18 0.907 0.454 0.256



(5)
Diffraction record for Tb3InSe. The XRD peak list is simulated, not measured: it uses a crystal structure in Alexandria, relaxed with PBE and Cu Kα (weighted mean of Kα1 and Kα2).

Most intense lines, 10° ≤ 2θ ≤ 90°, in order of falling intensity:
2θ 30.21, intensity 1000
2θ 31.91, intensity 968
2θ 29.97, intensity 765
2θ 30.56, intensity 519
2θ 36.96, intensity 505
2θ 30.89, intensity 500
2θ 45.06, intensity 379
2θ 55.66, intensity 292
2θ 31.71, intensity 236
2θ 43.54, intensity 204

Structural model:
Cell: 9.110 4.024 15.263 Å, 90.00 90.00 90.00°
Fractional positions:
Tb1 0.036 0.250 0.116
Tb2 0.159 0.250 0.518
Tb3 0.206 0.750 0.280
Tb4 0.294 0.250 0.780
Tb5 0.341 0.750 0.018
Tb6 0.464 0.750 0.616
Tb7 0.536 0.250 0.384
Tb8 0.659 0.250 0.982
Tb9 0.706 0.750 0.220
Tb10 0.794 0.250 0.720
Tb11 0.841 0.750 0.482
Tb12 0.964 0.750 0.884
In1 0.068 0.750 0.674
In2 0.432 0.250 0.174
In3 0.568 0.750 0.826
In4 0.932 0.250 0.326
Se1 0.161 0.250 0.945
Se2 0.339 0.750 0.445
Se3 0.661 0.250 0.555
Se4 0.839 0.750 0.055



(6)
Diffraction record for Tb3Tl4InSe8. The XRD peak list is simulated, not measured: it uses a crystal structure in Alexandria, relaxed with PBE and Cu Kα (weighted mean of Kα1 and Kα2).

Most intense lines, 10° ≤ 2θ ≤ 90°, in order of falling intensity:
2θ 29.03, intensity 1000
2θ 39.71, intensity 376
2θ 43.27, intensity 354
2θ 25.76, intensity 194
2θ 52.95, intensity 187
2θ 70.70, intensity 158
2θ 65.61, intensity 138
2θ 60.17, intensity 111
2θ 76.97, intensity 109
2θ 22.90, intensity 108

Structural model:
Cell: 8.363 8.363 9.146 Å, 117.20 117.20 60.00°
Fractional positions:
Tb1 0.000 0.000 0.000
Tb2 0.000 0.500 0.000
Tb3 0.500 0.000 0.000
Tl1 0.000 0.000 0.500
Tl2 0.000 0.500 0.500
Tl3 0.500 0.000 0.500
Tl4 0.500 0.500 0.500
In1 0.500 0.500 0.000
Se1 0.235 0.235 0.206
Se2 0.240 0.732 0.204
Se3 0.267 0.267 0.796
Se4 0.268 0.760 0.796
Se5 0.732 0.240 0.204
Se6 0.733 0.733 0.204
Se7 0.760 0.268 0.796
Se8 0.765 0.765 0.794



(7)
Diffraction record for InTc2Se. The XRD peak list is simulated, not measured: it uses a crystal structure in Alexandria, relaxed with PBE and Cu Kα (weighted mean of Kα1 and Kα2).

Most intense lines, 10° ≤ 2θ ≤ 90°, in order of falling intensity:
2θ 37.36, intensity 1000
2θ 42.80, intensity 448
2θ 74.80, intensity 249
2θ 10.89, intensity 239
2θ 45.19, intensity 236
2θ 62.14, intensity 144
2θ 73.53, intensity 114
2θ 63.54, intensity 85
2θ 80.08, intensity 85
2θ 89.01, intensity 71

Structural model:
Cell: 2.988 2.988 8.125 Å, 90.00 90.00 90.00°
Fractional positions:
In1 0.000 0.000 0.000
Tc1 0.000 0.000 0.550
Tc2 0.500 0.500 0.759
Se1 0.500 0.500 0.361



(8)
Diffraction record for In2TeSe. The XRD peak list is simulated, not measured: it uses a crystal structure in Alexandria, relaxed with PBE and Cu Kα (weighted mean of Kα1 and Kα2).

Most intense lines, 10° ≤ 2θ ≤ 90°, in order of falling intensity:
2θ 32.50, intensity 1000
2θ 32.89, intensity 242
2θ 39.44, intensity 146
2θ 40.38, intensity 137
2θ 52.27, intensity 127
2θ 67.18, intensity 117
2θ 57.73, intensity 93
2θ 58.41, intensity 90
2θ 58.55, intensity 89
2θ 52.93, intensity 61

Structural model:
Cell: 4.467 4.569 5.446 Å, 90.00 90.20 90.00°
Fractional positions:
In1 0.000 0.000 0.000
In2 0.500 0.500 0.000
Te1 0.000 0.500 0.500
Se1 0.500 0.000 0.500